[1]
TiCrNi2O6: theoretical powder diffractogram (a wavelength of 1.5418 Å), based on the PBE+U geometry in Alexandria.

Largest 10 diffraction maxima, by angle, 10° ≤ 2θ ≤ 80°:
2θ (°)  intensity
23.11  100
31.95  63
32.44  51
39.80  20
45.81  58
51.92  38
52.90  36
57.25  18
66.79  16
72.53  25

Cell and atoms:
```
data_TiCrNi2O6
_chemical_formula_sum 'Ti1 Cr1 Ni2 O6'
_symmetry_space_group_name_H-M 'P 4 m m'
_symmetry_Int_Tables_number 99
_cell_length_a 5.602
_cell_length_b 5.602
_cell_length_c 3.848
_cell_angle_alpha 90.00
_cell_angle_beta 90.00
_cell_angle_gamma 90.00
loop_
_symmetry_equiv_pos_as_xyz
'x,y,z'
'-y,x,z'
'-x,-y,z'
'y,-x,z'
'-x,y,z'
'y,x,z'
'x,-y,z'
'-y,-x,z'
loop_
_atom_site_label
_atom_site_fract_x
_atom_site_fract_y
_atom_site_fract_z
Ti1 0.000 0.000 0.000
Cr1 0.500 0.500 0.034
Ni1 0.000 0.500 0.201
O1 0.000 0.000 0.554
O2 0.251 0.251 0.082
O3 0.500 0.500 0.563
```



[2]
ZnCr4NiO8: theoretical powder diffractogram (a wavelength of 1.5418 Å), based on the PBE+U geometry in Alexandria.

Largest 10 diffraction maxima, by angle, 10° ≤ 2θ ≤ 80°:
2θ (°)  intensity
18.14  4
29.84  38
35.15  100
36.77  6
42.71  14
52.97  13
56.46  36
61.99  43
70.31  5
73.31  10

Cell and atoms:
```
data_ZnCr4NiO8
_chemical_formula_sum 'Zn4 Cr16 Ni4 O32'
_symmetry_space_group_name_H-M 'F -4 3 m'
_symmetry_Int_Tables_number 216
_symmetry_space_group_name_Hall 'F -4 2 3'
_cell_length_a 8.468
_cell_length_b 8.468
_cell_length_c 8.468
_cell_angle_alpha 90.00
_cell_angle_beta 90.00
_cell_angle_gamma 90.00
loop_
_atom_site_label
_atom_site_fract_x
_atom_site_fract_y
_atom_site_fract_z
Zn1 0.000 0.000 0.000
Cr1 0.125 0.125 0.625
Ni1 0.250 0.250 0.250
O1 0.114 0.114 0.386
O2 0.137 0.137 0.863
```



[3]
ZnCrNiO4: theoretical powder diffractogram (a wavelength of 1.5418 Å), based on the PBE+U geometry in Alexandria.

Largest 10 diffraction maxima, by angle, 10° ≤ 2θ ≤ 80°:
2θ (°)  intensity
30.03  87
35.25  95
35.42  81
35.55  100
43.16  25
53.31  20
56.58  28
57.00  38
57.14  25
62.40  98

Cell and atoms:
```
data_ZnCrNiO4
_chemical_formula_sum 'Zn4 Cr4 Ni4 O16'
_symmetry_space_group_name_H-M 'I m m a'
_symmetry_Int_Tables_number 74
_symmetry_space_group_name_Hall '-I 2b 2'
_cell_length_a 5.909
_cell_length_b 5.947
_cell_length_c 8.457
_cell_angle_alpha 90.00
_cell_angle_beta 90.00
_cell_angle_gamma 90.00
loop_
_atom_site_label
_atom_site_fract_x
_atom_site_fract_y
_atom_site_fract_z
Zn1 0.000 0.250 0.128
Cr1 0.000 0.000 0.500
Ni1 0.250 0.250 0.750
O1 0.000 0.023 0.734
O2 0.225 0.250 0.504
```